1.
Computed powder diffraction line list of Pr2MgMn2Ge2O10 for Cu Kα X-rays, from a structure optimized by DFT (GGA+U).
Lines closer than 0.1° are merged.

Cell and atoms:
abc: 5.822 6.325 6.892
angles: 88.63 80.73 74.20
Space group P1 (No. 1)
Symmetry-distinct sites (fractional):
Pr 0.000 0.000 0.000 (multiplicity 1)
Pr 0.280 0.436 0.641 (multiplicity 1)
Mg 0.464 0.912 0.358 (multiplicity 1)
Mn 0.635 0.724 0.826 (multiplicity 1)
Mn 0.818 0.523 0.292 (multiplicity 1)
Ge 0.383 0.394 0.092 (multiplicity 1)
Ge 0.900 0.038 0.543 (multiplicity 1)
O 0.116 0.983 0.326 (multiplicity 1)
O 0.181 0.446 0.316 (multiplicity 1)
O 0.320 0.201 0.941 (multiplicity 1)
O 0.321 0.637 0.944 (multiplicity 1)
O 0.552 0.651 0.533 (multiplicity 1)
O 0.595 0.113 0.506 (multiplicity 1)
O 0.690 0.325 0.121 (multiplicity 1)
O 0.710 0.803 0.116 (multiplicity 1)
O 0.953 0.798 0.698 (multiplicity 1)
O 0.962 0.231 0.695 (multiplicity 1)

Largest 12 diffraction maxima, by intensity, 2θ from 15° to 90°:
d 3.039, I 100, (1 2 0)
d 2.949, I 99, (1 1 2)
d 3.630, I 96, (1 -1 0)
d 2.995, I 69, (0 1 -2)
d 2.823, I 66, (2 1 0)
d 3.056, I 57, (-1 1 1)
d 1.704, I 46, (3 2 2)
d 4.792, I 36, (1 1 0)
d 2.337, I 27, (2 0 2)
d 2.642, I 27, (1 -1 2)
d 1.711, I 24, (3 0 -1)
d 2.330, I 24, (1 -2 1)

---

2.
Computed powder diffraction line list of MgV4Ge4O16 for Cu Kα X-rays, from a structure optimized by DFT (GGA+U).
Lines closer than 0.1° are merged.

Cell and atoms:
abc: 4.548 4.768 11.567
angles: 90.02 90.14 90.53
Space group P1 (No. 1)
Symmetry-distinct sites (fractional):
Mg 0.000 0.000 0.000 (multiplicity 1)
V 0.004 0.009 0.503 (multiplicity 1)
V 0.004 0.508 0.369 (multiplicity 1)
V 0.492 0.501 0.866 (multiplicity 1)
V 0.500 0.014 0.998 (multiplicity 1)
Ge 0.503 0.009 0.259 (multiplicity 1)
Ge 0.506 0.510 0.614 (multiplicity 1)
Ge 0.997 0.505 0.125 (multiplicity 1)
Ge 0.997 0.999 0.747 (multiplicity 1)
O 0.227 0.838 0.623 (multiplicity 1)
O 0.232 0.340 0.247 (multiplicity 1)
O 0.234 0.845 0.870 (multiplicity 1)
O 0.237 0.344 0.007 (multiplicity 1)
O 0.252 0.834 0.372 (multiplicity 1)
O 0.253 0.335 0.495 (multiplicity 1)
O 0.268 0.843 0.127 (multiplicity 1)
O 0.282 0.333 0.739 (multiplicity 1)
O 0.727 0.678 0.738 (multiplicity 1)
O 0.742 0.172 0.129 (multiplicity 1)
O 0.752 0.666 0.004 (multiplicity 1)
O 0.753 0.182 0.372 (multiplicity 1)
O 0.753 0.681 0.495 (multiplicity 1)
O 0.761 0.161 0.871 (multiplicity 1)
O 0.773 0.676 0.246 (multiplicity 1)
O 0.780 0.176 0.623 (multiplicity 1)

Largest 12 diffraction maxima, by intensity, 2θ from 15° to 90°:
d 3.179, I 100, (-1 1 1)
d 3.152, I 98, (1 1 1)
d 2.941, I 66, (1 0 -3)
d 2.473, I 60, (0 1 -4)
d 1.393, I 31, (0 3 -4)
d 2.384, I 27, (0 2 0)
d 2.062, I 24, (1 0 5)
d 1.679, I 23, (-2 1 4)
d 1.676, I 23, (2 -1 4)
d 1.653, I 22, (2 -2 0)
d 1.638, I 22, (2 2 0)
d 1.668, I 22, (2 1 4)

---

3.
Computed powder diffraction line list of MgVGe2O6 for Cu Kα X-rays, from a structure optimized by DFT (GGA+U).
Lines closer than 0.1° are merged.

Cell and atoms:
abc: 9.900 9.201 5.491
angles: 90.00 104.19 90.00
Space group P2_1/c (No. 14)
Symmetry-distinct sites (fractional):
Mg 0.244 0.013 0.445 (multiplicity 4)
V 0.245 0.657 0.457 (multiplicity 4)
Ge 0.058 0.162 0.826 (multiplicity 4)
Ge 0.458 0.157 0.246 (multiplicity 4)
O 0.110 0.177 0.171 (multiplicity 4)
O 0.126 0.658 0.747 (multiplicity 4)
O 0.142 0.018 0.724 (multiplicity 4)
O 0.359 0.657 0.171 (multiplicity 4)
O 0.374 0.510 0.703 (multiplicity 4)
O 0.385 0.212 0.506 (multiplicity 4)

Largest 12 diffraction maxima, by intensity, 2θ from 15° to 90°:
d 3.116, I 100, (1 2 1)
d 3.021, I 91, (3 1 0)
d 3.455, I 46, (1 2 -1)
d 2.615, I 46, (2 0 -2)
d 2.570, I 39, (3 2 -1)
d 2.659, I 33, (0 0 2)
d 1.682, I 27, (4 3 1)
d 1.451, I 26, (6 3 -1)
d 4.602, I 23, (0 2 0)
d 3.321, I 16, (2 2 0)
d 1.745, I 16, (5 1 -2)
d 1.698, I 16, (1 2 -3)

---

4.
Computed powder diffraction line list of MgVGe2O6 for Cu Kα X-rays, from a structure optimized by DFT (GGA+U).
Lines closer than 0.1° are merged.

Cell and atoms:
abc: 9.814 9.244 5.273
angles: 90.00 100.72 90.00
Space group C2/c (No. 15)
Symmetry-distinct sites (fractional):
Mg 0.000 0.230 0.250 (multiplicity 4)
V 0.000 0.407 0.750 (multiplicity 4)
Ge 0.198 0.093 0.789 (multiplicity 8)
O 0.115 0.237 0.615 (multiplicity 8)
O 0.118 0.405 0.140 (multiplicity 8)
O 0.141 0.070 0.099 (multiplicity 8)

Largest 12 diffraction maxima, by intensity, 2θ from 15° to 90°:
d 3.036, I 100, (3 1 0)
d 2.654, I 85, (2 2 1)
d 2.985, I 75, (2 2 -1)
d 2.618, I 69, (1 3 -1)
d 2.590, I 54, (0 0 2)
d 3.449, I 52, (0 2 1)
d 1.493, I 40, (5 3 1)
d 1.527, I 38, (1 3 -3)
d 2.168, I 34, (3 1 -2)
d 1.635, I 29, (5 3 -1)
d 4.374, I 25, (1 1 -1)
d 2.847, I 21, (3 1 -1)

---

5.
Computed powder diffraction line list of MgV4Ge4O16 for Cu Kα X-rays, from a structure optimized by DFT (GGA+U).
Lines closer than 0.1° are merged.

Cell and atoms:
abc: 4.342 4.620 12.903
angles: 94.03 90.08 90.42
Space group P1 (No. 1)
Symmetry-distinct sites (fractional):
Mg 0.000 0.000 0.000 (multiplicity 1)
V 0.136 0.811 0.498 (multiplicity 1)
V 0.143 0.334 0.621 (multiplicity 1)
V 0.491 0.576 0.008 (multiplicity 1)
V 0.605 0.227 0.172 (multiplicity 1)
Ge 0.102 0.402 0.837 (multiplicity 1)
Ge 0.121 0.764 0.268 (multiplicity 1)
Ge 0.634 0.868 0.739 (multiplicity 1)
Ge 0.639 0.296 0.399 (multiplicity 1)
O 0.357 0.616 0.387 (multiplicity 1)
O 0.359 0.556 0.163 (multiplicity 1)
O 0.368 0.185 0.739 (multiplicity 1)
O 0.384 0.666 0.623 (multiplicity 1)
O 0.393 0.141 0.506 (multiplicity 1)
O 0.409 0.088 0.286 (multiplicity 1)
O 0.422 0.675 0.852 (multiplicity 1)
O 0.485 0.081 0.030 (multiplicity 1)
O 0.849 0.444 0.282 (multiplicity 1)
O 0.879 0.064 0.850 (multiplicity 1)
O 0.880 0.486 0.507 (multiplicity 1)
O 0.885 0.014 0.623 (multiplicity 1)
O 0.893 0.541 0.731 (multiplicity 1)
O 0.907 0.961 0.387 (multiplicity 1)
O 0.925 0.947 0.158 (multiplicity 1)
O 0.998 0.527 0.975 (multiplicity 1)

Largest 12 diffraction maxima, by intensity, 2θ from 15° to 90°:
d 3.049, I 100, (-1 1 1)
d 3.024, I 40, (1 1 1)
d 3.114, I 39, (1 -1 1)
d 3.094, I 37, (1 1 -1)
d 2.555, I 23, (0 1 4)
d 2.317, I 19, (0 1 -5)
d 2.296, I 19, (0 2 -1)
d 1.583, I 18, (2 1 -5)
d 1.573, I 18, (2 2 0)
d 1.586, I 18, (2 -2 0)
d 1.659, I 18, (-2 1 4)
d 2.211, I 17, (1 0 5)

---

6.
Computed powder diffraction line list of MgV4Ge4O16 for Cu Kα X-rays, from a structure optimized by DFT (GGA+U).
Lines closer than 0.1° are merged.

Cell and atoms:
abc: 4.838 5.333 11.157
angles: 94.72 90.94 90.50
Space group P1 (No. 1)
Symmetry-distinct sites (fractional):
Mg 0.000 0.000 0.000 (multiplicity 1)
V 0.022 0.474 0.832 (multiplicity 1)
V 0.461 0.513 0.342 (multiplicity 1)
V 0.495 0.994 0.200 (multiplicity 1)
V 0.970 0.975 0.682 (multiplicity 1)
Ge 0.454 0.932 0.894 (multiplicity 1)
Ge 0.525 0.485 0.607 (multiplicity 1)
Ge 0.936 0.528 0.136 (multiplicity 1)
Ge 0.951 0.101 0.411 (multiplicity 1)
O 0.152 0.068 0.544 (multiplicity 1)
O 0.225 0.183 0.308 (multiplicity 1)
O 0.236 0.124 0.802 (multiplicity 1)
O 0.253 0.618 0.709 (multiplicity 1)
O 0.254 0.648 0.212 (multiplicity 1)
O 0.255 0.686 0.943 (multiplicity 1)
O 0.294 0.575 0.477 (multiplicity 1)
O 0.402 0.110 0.039 (multiplicity 1)
O 0.711 0.344 0.463 (multiplicity 1)
O 0.712 0.862 0.343 (multiplicity 1)
O 0.727 0.774 0.610 (multiplicity 1)
O 0.729 0.344 0.231 (multiplicity 1)
O 0.748 0.297 0.709 (multiplicity 1)
O 0.790 0.854 0.847 (multiplicity 1)
O 0.791 0.818 0.109 (multiplicity 1)
O 0.908 0.354 0.993 (multiplicity 1)

Largest 12 diffraction maxima, by intensity, 2θ from 15° to 90°:
d 3.462, I 100, (1 1 -1)
d 2.658, I 58, (0 2 0)
d 2.965, I 50, (1 0 -3)
d 3.379, I 50, (-1 1 1)
d 3.325, I 46, (1 1 1)
d 2.637, I 36, (1 -1 3)
d 2.916, I 31, (1 0 3)
d 2.484, I 27, (1 1 3)
d 1.553, I 22, (0 3 -4)
d 1.797, I 22, (2 -2 0)
d 2.419, I 20, (2 0 0)
d 1.780, I 20, (2 2 0)

---

7.
Computed powder diffraction line list of MgV4Ge4O16 for Cu Kα X-rays, from a structure optimized by DFT (GGA+U).
Lines closer than 0.1° are merged.

Cell and atoms:
abc: 4.871 5.306 11.046
angles: 90.29 90.27 92.51
Space group P1 (No. 1)
Symmetry-distinct sites (fractional):
Mg 0.000 0.000 0.000 (multiplicity 1)
V 0.511 0.676 0.069 (multiplicity 1)
V 0.562 0.168 0.202 (multiplicity 1)
V 0.901 0.210 0.680 (multiplicity 1)
V 0.927 0.714 0.550 (multiplicity 1)
Ge 0.019 0.639 0.285 (multiplicity 1)
Ge 0.371 0.252 0.472 (multiplicity 1)
Ge 0.450 0.674 0.773 (multiplicity 1)
Ge 0.899 0.463 0.903 (multiplicity 1)
O 0.060 0.185 0.844 (multiplicity 1)
O 0.150 0.571 0.678 (multiplicity 1)
O 0.164 0.056 0.575 (multiplicity 1)
O 0.207 0.539 0.436 (multiplicity 1)
O 0.224 0.663 0.916 (multiplicity 1)
O 0.292 0.515 0.191 (multiplicity 1)
O 0.342 0.016 0.091 (multiplicity 1)
O 0.369 0.054 0.343 (multiplicity 1)
O 0.623 0.384 0.788 (multiplicity 1)
O 0.672 0.864 0.669 (multiplicity 1)
O 0.686 0.367 0.547 (multiplicity 1)
O 0.712 0.771 0.914 (multiplicity 1)
O 0.772 0.347 0.044 (multiplicity 1)
O 0.793 0.367 0.287 (multiplicity 1)
O 0.816 0.847 0.167 (multiplicity 1)
O 0.840 0.817 0.405 (multiplicity 1)

Largest 12 diffraction maxima, by intensity, 2θ from 15° to 90°:
d 3.479, I 100, (1 -1 1)
d 3.351, I 96, (1 1 -1)
d 3.338, I 88, (1 1 1)
d 2.944, I 80, (1 0 -3)
d 2.598, I 76, (-1 1 3)
d 2.929, I 64, (1 0 3)
d 5.301, I 61, (0 1 0)
d 3.054, I 61, (1 -1 2)
d 2.178, I 42, (1 1 -4)
d 1.492, I 34, (0 3 -4)
d 4.786, I 32, (0 1 -1)
d 3.814, I 32, (0 1 2)

---

What is the formula in the fifth record? MgV4Ge4O16